Starting from a crystal structure in Alexandria, relaxed with PBE+U, the powder diffraction line list of CrOF3 was computed for a wavelength of 1.5418 Å.
Intensities are scaled so that the largest is 100.

Cell and atoms:
```
10
Lattice="0.000 3.887 6.921 3.031 0.000 6.921 3.031 3.887 0.000" Properties=species:S:1:pos:R:3 pbc="T T T"
Cr 1.515 1.944 3.460
Cr 4.546 5.831 10.381
O 5.445 3.887 6.921
O 0.616 3.887 6.921
F 1.515 0.000 3.460
F 3.031 1.956 4.705
F 3.031 1.956 9.136
F 1.515 3.887 3.460
F 3.031 5.818 4.705
F 3.031 5.818 9.136
```

Largest 8 diffraction maxima, in order of falling intensity, 10° ≤ 2θ ≤ 90°:
Position (°2θ)	intensity
12.79	100
26.30	31
39.53	18
22.88	15
25.75	15
32.25	14
49.67	13
62.81	12